[1]
Diffraction record for NaCSCl3O4. The X-ray diffraction stick pattern is theoretical, not measured: it uses a cell relaxed with PBE and Cu Kα.
No peak broadening, texture or thermal motion is included.

Structural model:
Cell: 12.9289 5.9140 10.7244 Å, 90.00 104.29 90.00°
Space group P2_1/c (No. 14)
Inequivalent atoms, fractional coordinates:
Na 0.1091 0.0452 0.2186
C 0.3205 0.5783 0.0565
S 0.1738 0.5443 0.0548
Cl 0.3443 0.0790 0.4248
Cl 0.3466 0.6326 0.5389
Cl 0.4000 0.0276 0.7024
O 0.0768 0.1069 0.8361
O 0.1173 0.6163 0.9257
O 0.1586 0.6916 0.1583
O 0.1619 0.1972 0.5798

Principal peaks in the range 2θ = 10–90°, sorted by position:
d = 6.264 Å, intensity 33; d = 5.140 Å, intensity 100; d = 4.429 Å, intensity 26; d = 4.235 Å, intensity 35; d = 3.132 Å, intensity 85; d = 3.061 Å, intensity 25; d = 2.954 Å, intensity 63; d = 2.833 Å, intensity 29; d = 2.658 Å, intensity 46; d = 2.499 Å, intensity 33



[2]
Diffraction record for Sc3TaO7. The X-ray diffraction stick pattern is theoretical, not measured: it uses a cell relaxed with PBE and Cu Kα.
No peak broadening, texture or thermal motion is included.

Structural model:
Cell: 7.1597 13.7451 5.1029 Å, 90.00 90.00 90.00°
Space group Cmme (No. 67)
Inequivalent atoms, fractional coordinates:
Sc 0.0000 0.1257 0.0276
Sc 0.2500 0.2500 0.5000
Ta 0.2500 0.0000 0.5000
O 0.0000 0.0215 0.2803
O 0.0000 0.2500 0.2640
O 0.2037 0.1273 0.7421

Principal peaks in the range 2θ = 10–90°, sorted by position:
d = 6.873 Å, intensity 82; d = 5.103 Å, intensity 43; d = 4.097 Å, intensity 46; d = 2.931 Å, intensity 100; d = 2.850 Å, intensity 98; d = 2.696 Å, intensity 27; d = 2.479 Å, intensity 30; d = 1.778 Å, intensity 73; d = 1.516 Å, intensity 27; d = 1.482 Å, intensity 24



[3]
Diffraction record for RbMg6Cu. The X-ray diffraction stick pattern is theoretical, not measured: it uses a cell relaxed with PBE and Cu Kα.
No peak broadening, texture or thermal motion is included.

Structural model:
Cell: 4.5940 6.2834 15.4402 Å, 90.00 90.00 90.00°
Space group Amm2 (No. 38)
Inequivalent atoms, fractional coordinates:
Rb 0.0000 0.0000 0.0000
Mg 0.0000 0.0000 0.4097
Mg 0.0000 0.2453 0.2051
Mg 0.5000 0.0000 0.5992
Mg 0.5000 0.2449 0.8295
Cu 0.5000 0.0000 0.1854

Principal peaks in the range 2θ = 10–90°, sorted by position:
d = 5.820 Å, intensity 75; d = 3.948 Å, intensity 53; d = 3.009 Å, intensity 93; d = 2.955 Å, intensity 37; d = 2.910 Å, intensity 33; d = 2.771 Å, intensity 56; d = 2.458 Å, intensity 100; d = 2.297 Å, intensity 38; d = 2.153 Å, intensity 24; d = 1.769 Å, intensity 28



[4]
Diffraction record for K3TbCl6. The X-ray diffraction stick pattern is theoretical, not measured: it uses a cell relaxed with PBE and Cu Kα.
No peak broadening, texture or thermal motion is included.

Structural model:
Cell: 11.2460 11.2460 11.2460 Å, 90.00 90.00 90.00°
Space group Fm-3m (No. 225)
Inequivalent atoms, fractional coordinates:
K 0.0000 0.0000 0.0000
K 0.2500 0.2500 0.2500
Tb 0.0000 0.0000 0.5000
Cl 0.0000 0.0000 0.2650

Principal peaks in the range 2θ = 10–90°, sorted by position:
d = 6.493 Å, intensity 76; d = 5.623 Å, intensity 85; d = 3.976 Å, intensity 89; d = 3.391 Å, intensity 32; d = 2.811 Å, intensity 100; d = 2.515 Å, intensity 41; d = 2.296 Å, intensity 39; d = 1.988 Å, intensity 66; d = 1.503 Å, intensity 22; d = 1.257 Å, intensity 25



[5]
Diffraction record for TaW3. The X-ray diffraction stick pattern is theoretical, not measured: it uses a cell relaxed with PBE and Cu Kα.
No peak broadening, texture or thermal motion is included.

Structural model:
Cell: 6.4311 6.4311 6.4311 Å, 90.00 90.00 90.00°
Space group Fm-3m (No. 225)
Inequivalent atoms, fractional coordinates:
Ta 0.0000 0.0000 0.0000
W 0.0000 0.0000 0.5000
W 0.2500 0.2500 0.2500

Principal peaks in the range 2θ = 10–90°, sorted by position:
d = 2.274 Å, intensity 100; d = 1.608 Å, intensity 17; d = 1.313 Å, intensity 35; d = 1.137 Å, intensity 11



[6]
Diffraction record for Bi12RuO20. The X-ray diffraction stick pattern is theoretical, not measured: it uses a cell relaxed with PBE and Cu Kα.
No peak broadening, texture or thermal motion is included.

Structural model:
Cell: 10.3319 10.3319 10.3319 Å, 90.00 90.00 90.00°
Space group I23 (No. 197)
Inequivalent atoms, fractional coordinates:
Bi 0.0158 0.1775 0.3199
Ru 0.0000 0.0000 0.0000
O 0.0101 0.3686 0.7501
O 0.1063 0.1063 0.8937
O 0.1924 0.1924 0.1924

Principal peaks in the range 2θ = 10–90°, sorted by position:
d = 3.653 Å, intensity 18; d = 3.267 Å, intensity 100; d = 2.983 Å, intensity 24; d = 2.761 Å, intensity 68; d = 2.026 Å, intensity 17; d = 1.772 Å, intensity 37; d = 1.722 Å, intensity 19; d = 1.676 Å, intensity 29; d = 1.523 Å, intensity 22; d = 1.235 Å, intensity 15